Structure and calculated X-ray diffraction stick pattern of DyUN2 (the GGA-PBE geometry in the Materials Project; Cu Kα, 1.54184 Å).
Intensities are scaled so that the largest is 100.

Top 10 peaks for 5 to 70 degrees two-theta, sorted by position:
| 2θ (°) | d_spacing | I (rel.) |
| --- | --- | --- |
| 15.7 | 5.640 | 6 |
| 31.7 | 2.820 | 34 |
| 31.9 | 2.808 | 100 |
| 36.9 | 2.434 | 90 |
| 53.1 | 1.724 | 31 |
| 53.3 | 1.719 | 31 |
| 63.2 | 1.471 | 15 |
| 63.4 | 1.467 | 45 |
| 66.3 | 1.410 | 5 |
| 66.6 | 1.404 | 16 |

```
4
Lattice="1.7186 0.9922 5.6400 -1.7186 0.9922 5.6400 0.0000 -1.9845 5.6400" Properties=species:S:1:pos:R:3 pbc="T T T"
Dy 0.0000 0.0000 0.0000
U 0.0000 0.0000 8.4600
N 0.0000 0.0000 4.1388
N 0.0000 0.0000 12.7813
```